This entry pairs a crystal structure of NaP2PtO9 with its simulated powder diffraction line list. Radiation: λ = 1.5418 Å (Cu Kα). Structure: DFT lattice parameters and positions (PBE).

Cell: 7.793 7.801 12.538 Å, 84.90 86.30 67.94°
Sites, in units of the cell vectors:
Na: 0.136 0.106 0.143
Na: 0.349 0.373 0.402
Na: 0.651 0.627 0.598
Na: 0.864 0.894 0.857
P: 0.144 0.689 0.647
P: 0.201 0.628 0.152
P: 0.361 0.896 0.400
P: 0.380 0.862 0.900
P: 0.620 0.138 0.100
P: 0.639 0.104 0.600
P: 0.799 0.372 0.848
P: 0.856 0.311 0.353
Pt: 0.037 0.108 0.565
Pt: 0.391 0.453 0.942
Pt: 0.609 0.547 0.058
Pt: 0.963 0.892 0.435
O: 0.017 0.686 0.551
O: 0.039 0.805 0.179
O: 0.079 0.901 0.676
O: 0.081 0.595 0.745
O: 0.102 0.253 0.664
O: 0.169 0.586 0.033
O: 0.220 0.956 0.977
O: 0.229 0.783 0.387
O: 0.242 0.369 0.852
O: 0.246 0.459 0.228
O: 0.297 0.994 0.512
O: 0.316 0.053 0.312
O: 0.345 0.623 0.610
O: 0.349 0.692 0.853
O: 0.383 0.682 0.144
O: 0.399 0.996 0.809
O: 0.431 0.221 0.037
O: 0.444 0.239 0.587
O: 0.556 0.761 0.413
O: 0.569 0.779 0.963
O: 0.601 0.004 0.191
O: 0.617 0.318 0.856
O: 0.651 0.308 0.147
O: 0.655 0.377 0.390
O: 0.684 0.947 0.688
O: 0.703 0.006 0.488
O: 0.754 0.541 0.772
O: 0.758 0.631 0.148
O: 0.771 0.217 0.613
O: 0.780 0.044 0.023
O: 0.831 0.414 0.967
O: 0.898 0.747 0.336
O: 0.919 0.405 0.255
O: 0.921 0.099 0.324
O: 0.961 0.195 0.821
O: 0.983 0.314 0.449

Largest 6 diffraction maxima, most intense first, 2θ = 10–80°:
Position (°2θ)  I (rel.)
13.75  100.0
14.61  83.0
14.38  82.9
13.96  51.1
14.19  46.9
29.46  33.3


This entry pairs a crystal structure of Mo2RuSe4 with its simulated powder diffraction line list. Radiation: λ = 1.5418 Å (Cu Kα). Structure: DFT lattice parameters and positions (PBE).

Cell: 6.735 6.746 6.843 Å, 92.01 94.16 93.69°
Sites, in units of the cell vectors:
Mo: 0.083 0.266 0.448
Mo: 0.267 0.958 0.589
Mo: 0.733 0.042 0.411
Mo: 0.917 0.734 0.552
Ru: 0.050 0.913 0.235
Ru: 0.950 0.087 0.765
Se: 0.126 0.781 0.881
Se: 0.232 0.632 0.375
Se: 0.277 0.286 0.784
Se: 0.369 0.129 0.268
Se: 0.631 0.871 0.732
Se: 0.723 0.714 0.216
Se: 0.768 0.368 0.625
Se: 0.874 0.219 0.119

Largest 6 diffraction maxima, most intense first, 2θ = 10–80°:
Position (°2θ)  I (rel.)
13.19  100.0
12.98  43.5
44.68  34.3
43.42  25.1
32.33  22.7
58.29  15.4


This entry pairs a crystal structure of GdB6O12 with its simulated powder diffraction line list. Radiation: λ = 1.5418 Å (Cu Kα). Structure: DFT lattice parameters and positions (PBE).

Cell: 8.480 8.480 8.480 Å, 62.28 62.28 62.28°
Sites, in units of the cell vectors:
Gd: 0.000 0.000 0.000
Gd: 0.500 0.500 0.500
B: 0.099 0.879 0.615
B: 0.115 0.379 0.599
B: 0.131 0.702 0.406
B: 0.202 0.631 0.906
B: 0.379 0.599 0.115
B: 0.406 0.131 0.702
B: 0.599 0.115 0.379
B: 0.615 0.099 0.879
B: 0.631 0.906 0.202
B: 0.702 0.406 0.131
B: 0.879 0.615 0.099
B: 0.906 0.202 0.631
O: 0.002 0.060 0.537
O: 0.015 0.873 0.307
O: 0.036 0.239 0.671
O: 0.037 0.560 0.502
O: 0.060 0.537 0.002
O: 0.129 0.828 0.782
O: 0.171 0.739 0.536
O: 0.239 0.671 0.036
O: 0.282 0.328 0.629
O: 0.307 0.015 0.873
O: 0.328 0.629 0.282
O: 0.373 0.515 0.807
O: 0.502 0.037 0.560
O: 0.515 0.807 0.373
O: 0.536 0.171 0.739
O: 0.537 0.002 0.060
O: 0.560 0.502 0.037
O: 0.629 0.282 0.328
O: 0.671 0.036 0.239
O: 0.739 0.536 0.171
O: 0.782 0.129 0.828
O: 0.807 0.373 0.515
O: 0.828 0.782 0.129
O: 0.873 0.307 0.015

Largest 6 diffraction maxima, most intense first, 2θ = 10–80°:
Position (°2θ)  I (rel.)
14.54  100.0
25.02  23.5
29.32  19.0
20.98  18.3
33.34  17.1
35.89  17.0


This entry pairs a crystal structure of Y2HfO5 with its simulated powder diffraction line list. Radiation: λ = 1.5418 Å (Cu Kα). Structure: DFT lattice parameters and positions (PBE).

Cell: 10.755 3.744 11.630 Å, 90.00 90.00 90.00°
Sites, in units of the cell vectors:
Y: 0.122 0.250 0.224
Y: 0.130 0.250 0.561
Y: 0.370 0.750 0.061
Y: 0.378 0.750 0.724
Y: 0.622 0.250 0.276
Y: 0.630 0.250 0.939
Y: 0.870 0.750 0.439
Y: 0.878 0.750 0.776
Hf: 0.170 0.250 0.886
Hf: 0.330 0.750 0.386
Hf: 0.670 0.250 0.614
Hf: 0.830 0.750 0.114
O: 0.004 0.750 0.605
O: 0.005 0.750 0.156
O: 0.230 0.250 0.051
O: 0.245 0.750 0.889
O: 0.249 0.750 0.229
O: 0.251 0.250 0.729
O: 0.255 0.250 0.389
O: 0.270 0.750 0.551
O: 0.495 0.250 0.656
O: 0.496 0.250 0.105
O: 0.504 0.750 0.895
O: 0.505 0.750 0.344
O: 0.730 0.250 0.449
O: 0.745 0.750 0.611
O: 0.749 0.750 0.271
O: 0.751 0.250 0.771
O: 0.755 0.250 0.111
O: 0.770 0.750 0.949
O: 0.995 0.250 0.844
O: 0.996 0.250 0.395

Largest 6 diffraction maxima, most intense first, 2θ = 10–80°:
Position (°2θ)  I (rel.)
29.06  100.0
28.38  78.6
33.28  50.2
47.80  33.6
34.29  24.0
16.49  23.4


This entry pairs a crystal structure of Cd4RuN4 with its simulated powder diffraction line list. Radiation: λ = 1.5418 Å (Cu Kα). Structure: DFT lattice parameters and positions (PBE).

Cell: 6.487 6.487 8.664 Å, 73.19 73.38 63.54°
Sites, in units of the cell vectors:
Cd: 0.136 0.134 0.241
Cd: 0.153 0.647 0.374
Cd: 0.253 0.747 0.000
Cd: 0.352 0.846 0.625
Cd: 0.648 0.154 0.375
Cd: 0.747 0.253 0.000
Cd: 0.847 0.353 0.626
Cd: 0.864 0.866 0.759
Ru: 0.303 0.304 0.782
Ru: 0.697 0.696 0.218
N: 0.081 0.530 0.658
N: 0.159 0.159 0.964
N: 0.461 0.462 0.821
N: 0.475 0.917 0.342
N: 0.525 0.083 0.658
N: 0.539 0.538 0.179
N: 0.841 0.841 0.036
N: 0.919 0.470 0.342

Largest 6 diffraction maxima, most intense first, 2θ = 10–80°:
Position (°2θ)  I (rel.)
31.23  100.0
31.58  71.4
32.48  57.9
32.19  52.0
31.35  37.5
53.66  22.5


This entry pairs a crystal structure of NbPt2 with its simulated powder diffraction line list. Radiation: λ = 1.5418 Å (Cu Kα). Structure: DFT lattice parameters and positions (PBE).

Cell: 2.858 2.858 6.962 Å, 90.00 90.00 120.00°
Sites, in units of the cell vectors:
Nb: 0.000 0.000 0.000
Pt: 0.333 0.667 0.673
Pt: 0.667 0.333 0.327

Largest 6 diffraction maxima, most intense first, 2θ = 10–80°:
Position (°2θ)  I (rel.)
38.61  100.0
44.94  63.0
38.80  30.9
78.63  24.0
65.57  21.9
65.30  20.5


This entry pairs a crystal structure of ZnHIO4 with its simulated powder diffraction line list. Radiation: λ = 1.5418 Å (Cu Kα). Structure: DFT lattice parameters and positions (PBE).

Cell: 6.494 6.494 6.421 Å, 92.57 92.57 129.98°
Sites, in units of the cell vectors:
Zn: 0.042 0.958 0.500
Zn: 0.958 0.042 0.000
H: 0.636 0.757 0.258
H: 0.757 0.636 0.758
I: 0.201 0.569 0.730
I: 0.569 0.201 0.230
O: 0.013 0.380 0.952
O: 0.285 0.362 0.633
O: 0.362 0.285 0.133
O: 0.380 0.013 0.452
O: 0.522 0.853 0.866
O: 0.806 0.943 0.280
O: 0.853 0.522 0.366
O: 0.943 0.806 0.780

Largest 6 diffraction maxima, most intense first, 2θ = 10–80°:
Position (°2θ)  I (rel.)
23.77  100.0
28.00  85.6
20.52  81.9
21.62  78.5
31.87  76.2
33.53  48.2


Number 6 is which compound? NbPt2